Entry 1:
Theoretical X-ray powder pattern
Compound: La2Pu3N8
Radiation: λ = 1.5418 Å (Cu Kα)
Structure: the GGA-PBE geometry in Alexandria

The 10 most intense peaks (10° ≤ 2θ ≤ 90°), sorted by position:
Position (°2θ), I/Imax
16.66, 59.4
22.35, 21.6
29.26, 41.7
29.85, 26.9
30.85, 35.3
31.04, 100.0
39.39, 25.2
47.67, 24.7
52.77, 28.6
52.99, 28.4

Cell and atoms:
Unit cell a=6.913 b=6.913 c=10.642 alpha=90.00 beta=90.00 gamma=120.00
Element x y z (fractional)
La: 0.333 0.667 0.000
La: 0.333 0.667 0.354
La: 0.667 0.333 0.500
La: 0.667 0.333 0.854
Pu: 0.166 0.332 0.711
Pu: 0.166 0.834 0.711
Pu: 0.332 0.166 0.211
Pu: 0.668 0.834 0.711
Pu: 0.834 0.166 0.211
Pu: 0.834 0.668 0.211
N: 0.000 0.000 0.299
N: 0.000 0.000 0.799
N: 0.060 0.530 0.819
N: 0.162 0.323 0.135
N: 0.162 0.838 0.135
N: 0.323 0.162 0.635
N: 0.333 0.667 0.607
N: 0.470 0.530 0.819
N: 0.470 0.940 0.819
N: 0.530 0.060 0.319
N: 0.530 0.470 0.319
N: 0.667 0.333 0.107
N: 0.677 0.838 0.135
N: 0.838 0.162 0.635
N: 0.838 0.677 0.635
N: 0.940 0.470 0.319


Entry 2:
Theoretical X-ray powder pattern
Compound: Nd5GePb2
Radiation: λ = 1.5418 Å (Cu Kα)
Structure: the GGA-PBE geometry in Alexandria

The 10 most intense peaks (10° ≤ 2θ ≤ 90°), sorted by position:
Position (°2θ), I/Imax
29.24, 100.0
29.92, 46.7
30.25, 71.3
31.71, 59.5
33.98, 24.5
34.70, 19.1
38.37, 41.8
39.81, 16.3
47.87, 17.2
49.40, 23.5

Cell and atoms:
Unit cell a=8.482 b=12.763 c=4.692 alpha=90.00 beta=90.00 gamma=90.00
Element x y z (fractional)
Nd: 0.000 0.000 0.000
Nd: 0.145 0.290 0.000
Nd: 0.196 0.567 0.500
Nd: 0.304 0.067 0.500
Nd: 0.355 0.790 0.000
Nd: 0.500 0.500 0.000
Nd: 0.645 0.210 0.000
Nd: 0.696 0.933 0.500
Nd: 0.804 0.433 0.500
Nd: 0.855 0.710 0.000
Ge: 0.000 0.500 0.000
Ge: 0.500 0.000 0.000
Pb: 0.080 0.827 0.500
Pb: 0.420 0.327 0.500
Pb: 0.580 0.673 0.500
Pb: 0.920 0.173 0.500


Entry 3:
Theoretical X-ray powder pattern
Compound: Tm2PaCr2C4
Radiation: λ = 1.5418 Å (Cu Kα)
Structure: the GGA-PBE geometry in Alexandria

The 10 most intense peaks (10° ≤ 2θ ≤ 90°), sorted by position:
Position (°2θ), I/Imax
25.31, 34.7
27.54, 92.6
28.58, 80.5
31.74, 72.8
34.96, 100.0
38.91, 33.2
40.35, 71.3
41.88, 100.0
61.08, 27.0
68.24, 27.5

Cell and atoms:
Unit cell a=6.574 b=6.574 c=6.026 alpha=109.93 beta=109.93 gamma=29.66
Element x y z (fractional)
Tm: 0.136 0.136 0.047
Tm: 0.864 0.864 0.953
Pa: 0.000 0.000 0.500
Cr: 0.320 0.320 0.517
Cr: 0.680 0.680 0.483
C: 0.219 0.219 0.707
C: 0.470 0.470 0.770
C: 0.530 0.530 0.230
C: 0.781 0.781 0.293